Diffraction record for Mn3VTe2P6O24. The X-ray diffraction stick pattern is simulated, not measured: it uses DFT lattice parameters and positions (GGA+U) and CuKα.
No peak broadening, texture or thermal motion is included.

Main lines, sorted by position (10° ≤ 2θ ≤ 90°):
Position (°2θ)  intensity
14.13  27
20.05  91
23.54  62
24.60  29
31.91  100
35.09  50
45.76  21
48.15  35
54.85  23
60.97  28

Unit cell a=8.8723 b=8.8723 c=8.8723 alpha=59.89 beta=59.89 gamma=59.89
Sites, in units of the cell vectors:
Mn1 0.0000 0.0000 0.0000
Mn2 0.1884 0.1884 0.1884
Mn3 0.6944 0.6944 0.6944
V1 0.4948 0.4948 0.4948
Te1 0.3314 0.3314 0.3314
Te2 0.8390 0.8390 0.8390
P1 0.1059 0.7954 0.4059
P2 0.3053 0.6004 0.8902
P3 0.4059 0.1059 0.7954
P4 0.6004 0.8902 0.3053
P5 0.7954 0.4059 0.1059
P6 0.8902 0.3053 0.6004
O1 0.0486 0.8200 0.2585
O2 0.0934 0.2861 0.4321
O3 0.1083 0.7445 0.9087
O4 0.1543 0.9490 0.3801
O5 0.2585 0.0486 0.8200
O6 0.2669 0.6032 0.4343
O7 0.2861 0.4321 0.0934
O8 0.3624 0.5221 0.7410
O9 0.3801 0.1543 0.9490
O10 0.4321 0.0934 0.2861
O11 0.4343 0.2669 0.6032
O12 0.4435 0.6643 0.8697
O13 0.5221 0.7410 0.3624
O14 0.6032 0.4343 0.2669
O15 0.6058 0.9436 0.7691
O16 0.6643 0.8697 0.4435
O17 0.7410 0.3624 0.5221
O18 0.7445 0.9087 0.1083
O19 0.7691 0.6058 0.9436
O20 0.8200 0.2585 0.0486
O21 0.8697 0.4435 0.6643
O22 0.9087 0.1083 0.7445
O23 0.9436 0.7691 0.6058
O24 0.9490 0.3801 0.1543